Starting from DFT lattice parameters and positions (GGA-PBE), the PXRD pattern of Nd3AlI2Cl was computed for copper Kα.
Peak positions follow from Bragg's law for the DFT cell and can differ from measured ones.

Cell: 6.113 6.113 6.281 Å, 90.00 90.00 90.00°
Fractional positions:
Nd 0.000 0.000 0.000
Nd 0.000 0.500 0.500
Nd 0.500 0.000 0.500
Al 0.000 0.000 0.500
I 0.000 0.500 0.000
I 0.500 0.000 0.000
Cl 0.500 0.500 0.500

Most intense lines, 10° ≤ 2θ ≤ 80°, sorted by position:
d [Å]  2theta  intensity  hkl
4.381  20.3  21  1 0 1
4.323  20.5  46  1 1 0
3.140  28.4  54  0 0 2
3.057  29.2  100  2 0 0
2.541  35.3  24  1 1 2
2.190  41.2  78  2 0 2
2.161  41.8  37  2 2 0
1.780  51.3  41  2 2 2
1.397  67.0  18  2 0 4
1.253  75.9  25  4 2 2